For MnAs2S2O4F12, the PBE+U geometry in the Materials Project gives the computed powder X-ray diffraction pattern in this record (Cu Kα X-rays).
Intensities are scaled so that the largest is 100.

Structural model:
Unit cell a=15.518 b=18.295 c=9.483 alpha=90.00 beta=90.00 gamma=90.00
Space group Fdd2 (No. 43)
One atom of each set of equivalent atoms:
Mn  0.000  0.000  0.000 [8 per cell]
As  0.092  0.194  0.947 [16 per cell]
S  0.099  0.155  0.461 [16 per cell]
O  0.066  0.106  0.355 [16 per cell]
O  0.083  0.456  0.665 [16 per cell]
F  0.007  0.208  0.065 [16 per cell]
F  0.022  0.184  0.805 [16 per cell]
F  0.068  0.424  0.092 [16 per cell]
F  0.083  0.096  0.986 [16 per cell]
F  0.084  0.449  0.349 [16 per cell]
F  0.104  0.288  0.920 [16 per cell]

Principal peaks in the range 2θ = 10–90°, sorted by position:
Position (°2θ)  intensity
11.96  96
20.15  57
21.10  40
21.97  40
22.57  82
24.05  100
24.44  33
26.74  48
31.36  52
46.00  22